[1]
CrN: computed PXRD pattern (Cu Kα (λ = 1.5418 Å)), based on a PBE-relaxed structure.
No peak broadening, texture or thermal motion is included.

Top 10 peaks for 2θ = 10–80°, low angle first:
2θ (°), intensity, h k l
37.1, 61, 1 1 -1
37.3, 31, 0 0 2
38.7, 27, 2 0 0
43.5, 50, 2 0 -2
43.7, 100, 1 1 1
62.3, 15, 0 2 0
62.4, 29, 1 1 -3
64.3, 25, 3 1 -1
75.7, 13, 2 2 0
79.0, 13, 2 2 -2

Cell and atoms:
Cell: 4.9737 2.9813 5.1531 Å, 90.00 110.52 90.00°
Fractional coordinates of all 8 atoms:
Cr (0.2371, 0.0000, 0.2476)
Cr (0.2629, 0.5000, 0.7524)
Cr (0.7371, 0.5000, 0.2476)
Cr (0.7629, 0.0000, 0.7524)
N (0.0000, 0.0000, 0.5000)
N (0.0000, 0.5000, 0.0000)
N (0.5000, 0.0000, 0.0000)
N (0.5000, 0.5000, 0.5000)

---

[2]
Cr3N4: computed PXRD pattern (Cu Kα (λ = 1.5418 Å)), based on a PBE-relaxed structure.
No peak broadening, texture or thermal motion is included.

Top 10 peaks for 2θ = 10–80°, low angle first:
2θ (°), intensity, h k l
34.3, 100, 3 0 2
37.2, 53, 2 1 0
37.4, 31, 0 0 4
38.2, 56, 1 1 2
43.8, 27, 1 1 3
53.8, 57, 2 1 4
62.6, 50, 5 1 2
65.4, 16, 3 0 6
66.2, 17, 0 2 0
76.7, 16, 3 2 2

Cell and atoms:
Cell: 9.3504 2.8225 9.6283 Å, 90.00 90.00 90.00°
Fractional coordinates of all 28 atoms:
Cr (0.0808, 0.2500, 0.1196)
Cr (0.0985, 0.2500, 0.5996)
Cr (0.2030, 0.2500, 0.8596)
Cr (0.2970, 0.7500, 0.3596)
Cr (0.4015, 0.7500, 0.0996)
Cr (0.4192, 0.7500, 0.6196)
Cr (0.5808, 0.2500, 0.3804)
Cr (0.5985, 0.2500, 0.9004)
Cr (0.7030, 0.2500, 0.6404)
Cr (0.7970, 0.7500, 0.1404)
Cr (0.9015, 0.7500, 0.4004)
Cr (0.9192, 0.7500, 0.8804)
N (0.0068, 0.2500, 0.7731)
N (0.1058, 0.7500, 0.4656)
N (0.1304, 0.7500, 0.9797)
N (0.2369, 0.7500, 0.7066)
N (0.2631, 0.2500, 0.2066)
N (0.3696, 0.2500, 0.4797)
N (0.3942, 0.2500, 0.9656)
N (0.4932, 0.7500, 0.2731)
N (0.5068, 0.2500, 0.7269)
N (0.6058, 0.7500, 0.0344)
N (0.6304, 0.7500, 0.5203)
N (0.7369, 0.7500, 0.7934)
N (0.7631, 0.2500, 0.2934)
N (0.8696, 0.2500, 0.0203)
N (0.8942, 0.2500, 0.5344)
N (0.9932, 0.7500, 0.2269)

---

[3]
CrN: computed PXRD pattern (Cu Kα (λ = 1.5418 Å)), based on a PBE-relaxed structure.
No peak broadening, texture or thermal motion is included.

Top 10 peaks for 2θ = 10–80°, low angle first:
2θ (°), intensity, h k l
37.1, 66, 1 1 0
38.3, 55, 0 1 1
43.7, 100, 1 0 1
44.1, 52, 0 2 0
61.8, 16, 2 0 0
63.8, 54, 1 2 1
65.1, 10, 0 0 2
75.1, 14, 2 1 1
77.4, 10, 1 1 2
79.0, 14, 2 2 0

Cell and atoms:
Cell: 3.0032 4.1096 2.8646 Å, 90.00 90.00 90.00°
Fractional coordinates of all 4 atoms:
Cr (0.2500, 0.2500, 0.2073)
Cr (0.7500, 0.7500, 0.7927)
N (0.2500, 0.7500, 0.2850)
N (0.7500, 0.2500, 0.7150)

---

[4]
CrN: computed PXRD pattern (Cu Kα (λ = 1.5418 Å)), based on a PBE-relaxed structure.
No peak broadening, texture or thermal motion is included.

Top 4 peaks for 2θ = 10–80°, low angle first:
2θ (°), intensity, h k l
35.6, 59, 1 0 0
51.2, 100, 1 1 0
64.0, 13, 1 1 1
75.4, 13, 2 0 0

Cell and atoms:
Cell: 2.5214 2.5214 2.5214 Å, 90.00 90.00 90.00°
Fractional coordinates of all 2 atoms:
Cr (0.0000, 0.0000, 0.0000)
N (0.5000, 0.5000, 0.5000)